The following is a computed powder XRD pattern of Sr3La9Mn11NiO36. It was derived from a DFT-relaxed cell (PBE+U, the Materials Project), using Cu Kα, 1.54184 Å.
Kinematic intensities with the Lorentz-polarization factor, no thermal factor.

Atomic structure:
```
60
Lattice="5.5784 0.0000 0.0000 -0.0067 9.5841 0.0000 -0.0010 -0.0185 13.5670" Properties=species:S:1:pos:R:3 pbc="T T T"
Sr 0.0000 0.0000 0.0000
Sr -0.0027 3.1804 9.0768
Sr 2.7785 7.9318 9.1284
La 2.6977 7.9768 2.2514
La 2.7073 4.7922 6.8138
La 2.7133 1.5631 11.2881
La 2.7751 4.7430 0.0710
La 2.7818 1.5750 4.5966
La 5.4950 3.1587 2.3371
La 5.4997 6.3522 11.3548
La 5.5025 9.5224 6.9125
La 5.5703 6.3578 4.5434
Mn 2.7393 1.5708 1.1720
Mn 2.7453 7.9575 12.4780
Mn 2.7541 4.7560 10.2138
Mn 2.7579 1.5681 7.9689
Mn 2.7623 7.9530 5.6943
Mn 5.5406 6.3642 1.1763
Mn 5.5378 6.3561 7.9718
Mn 5.5379 9.5559 3.4342
Mn 5.5365 9.5483 10.2221
Mn 5.5468 3.1668 5.7055
Mn 5.5509 3.1472 12.4723
Ni 2.7503 4.7669 3.4364
O 0.2582 7.9733 9.0590
O 0.3375 4.7773 0.0240
O 0.3455 1.5744 4.5634
O 1.2907 4.2212 4.7414
O 1.3206 6.9278 6.6082
O 1.3414 7.3590 0.2065
O 1.3616 0.5694 2.1764
O 1.3588 0.9652 9.2094
O 1.3586 3.7520 11.2112
O 1.3571 5.8533 2.4357
O 1.3888 8.5120 4.3536
O 1.4242 2.6243 6.8967
O 1.4204 8.9842 11.4532
O 1.4304 2.1887 13.3972
O 1.4313 5.3950 8.8860
O 2.3515 3.1448 2.2597
O 2.3631 9.5737 6.7455
O 2.3816 6.3383 11.3959
O 3.0526 3.1418 9.1037
O 3.0604 9.5429 0.1054
O 3.1408 6.3872 4.6144
O 4.1151 1.0154 2.5280
O 4.1158 4.1887 11.5722
O 4.1265 6.8588 13.4772
O 4.1397 0.5617 8.9421
O 4.1472 3.6727 4.4369
O 4.1526 7.3650 6.9657
O 4.1766 8.9955 4.7724
O 4.1887 2.6177 0.2586
O 4.2011 2.0938 6.6549
O 4.2005 8.4989 11.2642
O 4.2141 5.3055 2.1314
O 4.2227 5.7305 9.2980
O 5.1442 7.9331 2.3508
O 5.1547 1.5614 11.3588
O 5.1527 4.7737 6.8034
```

Most intense lines, 2θ from 5° to 70°, by intensity:
32.29 deg, d 2.772, I = 100; 46.19 deg, d 1.966, I = 26; 57.63 deg, d 1.599, I = 19; 32.09 deg, d 2.789, I = 19; 57.33 deg, d 1.607, I = 17; 46.43 deg, d 1.956, I = 12; 39.88 deg, d 2.261, I = 10; 67.56 deg, d 1.387, I = 10; 39.69 deg, d 2.271, I = 10; 22.62 deg, d 3.931, I = 9

---

The following is a computed powder XRD pattern of Fe3BO6. It was derived from a DFT-relaxed cell (PBE+U, the Materials Project), using Cu Kα, 1.54184 Å.
Kinematic intensities with the Lorentz-polarization factor, no thermal factor.

Atomic structure:
```
40
Lattice="10.2230 0.0000 0.0000 0.0000 8.6860 0.0000 0.0000 0.0000 4.5122" Properties=species:S:1:pos:R:3 pbc="T T T"
Fe 0.9251 2.1715 0.0955
Fe 1.3155 4.9178 2.3431
Fe 1.3155 8.1111 2.3431
Fe 3.7960 0.5749 0.0870
Fe 3.7960 3.7681 0.0870
Fe 4.1864 6.5145 2.3516
Fe 6.0366 2.1715 2.1606
Fe 6.4270 4.9178 4.4253
Fe 6.4270 8.1111 4.4253
Fe 8.9075 0.5749 2.1692
Fe 8.9075 3.7681 2.1692
Fe 9.2979 6.5145 4.4167
B 2.2178 6.5145 0.4056
B 2.8937 2.1715 2.6617
B 7.3293 6.5145 1.8505
B 8.0052 2.1715 4.1066
O 0.3586 0.7061 1.2012
O 0.3586 3.6369 1.2012
O 0.8418 6.5145 1.0113
O 2.2000 0.9838 3.3144
O 2.2000 3.3591 3.3144
O 2.2342 6.5145 3.4637
O 2.8773 2.1715 1.2076
O 2.9115 5.3268 1.0582
O 2.9115 7.7021 1.0582
O 4.2697 2.1715 3.2674
O 4.7529 5.0491 3.4573
O 4.7529 7.9799 3.4573
O 5.4701 0.7061 1.0549
O 5.4701 3.6369 1.0549
O 5.9533 6.5145 1.2448
O 7.3115 0.9838 3.4540
O 7.3115 3.3591 3.4540
O 7.3457 6.5145 3.3047
O 7.9888 2.1715 1.0485
O 8.0230 5.3268 1.1979
O 8.0230 7.7021 1.1979
O 9.3812 2.1715 3.5010
O 9.8644 5.0491 3.3110
O 9.8644 7.9799 3.3110
```

Most intense lines, 2θ from 5° to 70°, by intensity:
29.86 deg, d 2.992, I = 100; 54.61 deg, d 1.681, I = 53; 34.56 deg, d 2.595, I = 49; 23.87 deg, d 3.728, I = 40; 35.64 deg, d 2.519, I = 34; 54.23 deg, d 1.691, I = 25; 63.36 deg, d 1.468, I = 20; 41.02 deg, d 2.200, I = 20; 39.08 deg, d 2.305, I = 20; 32.94 deg, d 2.719, I = 18

---

The following is a computed powder XRD pattern of Li2FeCo3O8. It was derived from a DFT-relaxed cell (PBE+U, the Materials Project), using Cu Kα, 1.54184 Å.
Kinematic intensities with the Lorentz-polarization factor, no thermal factor.

Atomic structure:
```
28
Lattice="2.8973 -4.9974 0.0000 2.8973 4.9974 0.0000 -0.0983 0.0000 9.4157" Properties=species:S:1:pos:R:3 pbc="T T T"
Li 2.8482 4.9880 4.7078
Li 2.7764 1.6558 8.4408
Li 2.8256 -1.6558 3.7329
Li 2.8973 -4.9880 0.0000
Fe 2.8840 1.6802 4.6213
Fe 2.8348 -1.6802 9.3292
Co 1.4394 0.8453 2.0262
Co 2.8728 3.3122 2.0239
Co 1.3903 -0.8453 6.7341
Co 4.2968 0.8461 2.0409
Co 4.2476 -0.8461 6.7488
Co 2.8236 -3.3122 6.7318
O -0.0197 0.0309 7.6449
O 0.0295 -0.0309 2.9371
O 1.5820 2.4053 3.1099
O 1.3248 0.8092 5.7534
O 2.8976 3.3741 5.7159
O 2.8190 1.7004 1.0266
O 1.3739 -0.8092 1.0456
O 2.7778 0.1901 3.1856
O 4.1055 2.4853 3.1658
O 2.7287 -0.1901 7.8934
O 1.5328 -2.4053 7.8178
O 2.7698 -1.7004 5.7344
O 4.3577 0.8745 5.6957
O 2.9468 -3.3741 1.0080
O 4.4068 -0.8745 0.9879
O 4.0563 -2.4853 7.8736
```

Most intense lines, 2θ from 5° to 70°, by intensity:
18.85 deg, d 4.708, I = 100; 20.13 deg, d 4.411, I = 77; 37.22 deg, d 2.416, I = 52; 19.99 deg, d 4.442, I = 51; 36.59 deg, d 2.456, I = 36; 64.53 deg, d 1.444, I = 35; 40.92 deg, d 2.206, I = 33; 46.14 deg, d 1.967, I = 29; 26.04 deg, d 3.422, I = 27; 46.45 deg, d 1.955, I = 26

---

The following is a computed powder XRD pattern of NaCaTbWO6. It was derived from a DFT-relaxed cell (PBE+U, the Materials Project), using Cu Kα, 1.54184 Å.
Kinematic intensities with the Lorentz-polarization factor, no thermal factor.

Atomic structure:
```
10
Lattice="0.0000 4.1633 4.1633 4.1633 0.0000 4.1633 4.1633 4.1633 0.0000" Properties=species:S:1:pos:R:3 pbc="T T T"
Na 0.0000 0.0000 0.0000
Ca 4.1633 4.1633 4.1633
Tb 2.0816 2.0816 2.0816
W 6.2449 6.2449 6.2449
O 6.2449 6.2449 4.3033
O 6.2449 4.3033 6.2449
O 8.1866 6.2449 6.2449
O 4.3033 6.2449 6.2449
O 6.2449 8.1866 6.2449
O 6.2449 6.2449 8.1866
```

Most intense lines, 2θ from 5° to 70°, by intensity:
30.36 deg, d 2.944, I = 100; 21.34 deg, d 4.163, I = 81; 53.95 deg, d 1.700, I = 40; 48.92 deg, d 1.862, I = 35; 43.47 deg, d 2.082, I = 33; 63.17 deg, d 1.472, I = 20; 67.49 deg, d 1.388, I = 17; 37.41 deg, d 2.404, I = 9; 18.46 deg, d 4.807, I = 3; 35.77 deg, d 2.511, I = 1

---

Question: Which formula does entry 1 have?
Answer: Sr3La9Mn11NiO36